This entry pairs a crystal structure of KNd9Si6O26 with its simulated X-ray powder pattern. Radiation: a wavelength of 1.5418 Å. Structure: the GGA-PBE geometry in the Materials Project.
Lines closer than 0.1° are merged.

Atomic structure:
Unit cell a=9.6532 b=9.6532 c=7.1639 alpha=90.00 beta=90.00 gamma=120.00
Space group P3 (No. 143)
One atom of each set of equivalent atoms:
1 K 0.0000 0.0000 0.0000 [1 per cell]
2 Nd 0.0000 0.0000 0.5007 [1 per cell]
3 Nd 0.0915 0.4350 0.2496 [3 per cell]
4 Nd 0.1003 0.6791 0.7535 [3 per cell]
5 Nd 0.6667 0.3333 0.4994 [1 per cell]
6 Nd 0.6667 0.3333 0.9990 [1 per cell]
7 Si 0.3054 0.2696 0.2557 [3 per cell]
8 Si 0.3660 0.0657 0.7443 [3 per cell]
9 O 0.0237 0.1971 0.7309 [3 per cell]
10 O 0.0859 0.7482 0.0748 [3 per cell]
11 O 0.0862 0.7533 0.4366 [3 per cell]
12 O 0.2187 0.0753 0.2743 [3 per cell]
13 O 0.3333 0.6667 0.2545 [1 per cell]
14 O 0.3333 0.6667 0.7522 [1 per cell]
15 O 0.4297 0.0164 0.9341 [3 per cell]
16 O 0.4414 0.0191 0.5636 [3 per cell]
17 O 0.4599 0.2634 0.7488 [3 per cell]
18 O 0.5027 0.3489 0.2490 [3 per cell]

Largest 8 diffraction maxima, by angle, 15 to 90 degrees two-theta:
| Position (°2θ) | intensity | hkl |
| --- | --- | --- |
| 21.3 | 29.3 | 2 0 0 |
| 22.2 | 28.9 | 1 1 1 |
| 27.1 | 38.5 | 0 1 2 |
| 28.2 | 34.2 | 2 1 0 |
| 30.9 | 100.0 | 3 -2 1 |
| 31.1 | 51.6 | 2 -1 2 |
| 47.7 | 34.4 | 2 1 3 |
| 50.6 | 29.0 | 0 4 2 |